Simulated powder diffraction line list of Fe3Cl for copper Kα, from a structure optimized by DFT (PBE).

Atomic structure:
abc: 3.0430 2.9253 6.6660
angles: 90.00 90.10 90.00
Sites, in units of the cell vectors:
Fe 0.0000 0.0000 0.0000
Fe 0.4991 0.5000 0.7994
Fe 0.5009 0.5000 0.2006
Cl 0.5000 0.0000 0.5000

Largest 10 diffraction maxima, by intensity, 2θ from 5° to 70°:
2theta, d [Å], I (rel.)
41.05, 2.199, 100
13.28, 6.666, 80
45.09, 2.011, 70
50.88, 1.795, 50
42.88, 2.109, 50
40.13, 2.247, 43
29.35, 3.043, 33
51.66, 1.769, 19
32.34, 2.768, 19
60.89, 1.521, 17

Simulated powder diffraction line list of Mg16Zn12Pd for copper Kα, from a structure optimized by DFT (PBE).

Atomic structure:
abc: 8.6193 8.6193 8.6992
angles: 107.29 107.29 107.24
Sites, in units of the cell vectors:
Mg 0.0000 0.0000 0.0000
Mg 0.0014 0.6320 0.0059
Mg 0.0119 0.6704 0.4212
Mg 0.0151 0.4070 0.6743
Mg 0.0230 0.0230 0.6451
Mg 0.3071 0.3071 0.3046
Mg 0.3128 0.7009 0.3171
Mg 0.3412 0.6003 0.6231
Mg 0.4070 0.0151 0.6743
Mg 0.4130 0.6500 0.0026
Mg 0.6003 0.3412 0.6231
Mg 0.6271 0.6271 0.3511
Mg 0.6320 0.0014 0.0059
Mg 0.6500 0.4130 0.0026
Mg 0.6704 0.0119 0.4212
Mg 0.7009 0.3128 0.3171
Zn 0.1663 0.3516 0.9820
Zn 0.1764 0.9882 0.3625
Zn 0.2032 0.8100 0.8188
Zn 0.3516 0.1663 0.9820
Zn 0.3574 0.9752 0.1702
Zn 0.6664 0.8615 0.6720
Zn 0.6763 0.6763 0.8676
Zn 0.8100 0.2032 0.8188
Zn 0.8210 0.8210 0.2069
Zn 0.8615 0.6664 0.6720
Zn 0.9752 0.3574 0.1702
Zn 0.9882 0.1764 0.3625
Pd 0.3165 0.3165 0.7146

Largest 10 diffraction maxima, by intensity, 2θ from 5° to 70°:
2theta, d [Å], I (rel.)
37.66, 2.388, 100
38.51, 2.338, 99
42.12, 2.145, 79
22.15, 4.013, 51
38.45, 2.341, 49
37.42, 2.403, 49
21.67, 4.101, 48
40.62, 2.221, 42
41.69, 2.167, 40
20.03, 4.434, 39